[1]
Calculated X-ray powder pattern of NiN2F14 for CuKα, from a cell relaxed with PBE+U.
Lines closer than 0.1° are merged.

Atomic structure:
Cell: 6.784 6.784 6.784 Å, 119.04 119.04 91.67°
Atoms (fractional coordinates):
Ni1 0.000 0.000 0.000
N1 0.250 0.750 0.500
N2 0.750 0.250 0.500
F1 0.027 0.742 0.432
F2 0.132 0.772 0.904
F3 0.191 0.191 0.000
F4 0.228 0.132 0.360
F5 0.258 0.690 0.286
F6 0.310 0.595 0.568
F7 0.405 0.973 0.714
F8 0.595 0.027 0.286
F9 0.690 0.405 0.432
F10 0.742 0.310 0.714
F11 0.772 0.868 0.640
F12 0.809 0.809 0.000
F13 0.868 0.228 0.096
F14 0.973 0.258 0.568

Principal peaks in the range 10 to 90 degrees two-theta, in order of rising 2θ:
2θ (°)	I_rel
15.9	100
25.9	23
26.3	40
30.5	22
31.2	12
36.9	8
41.0	23
41.5	17
48.7	15
50.0	6
55.9	8
56.4	8



[2]
Calculated X-ray powder pattern of Ta2NiN6F12 for CuKα, from a cell relaxed with PBE+U.
Lines closer than 0.1° are merged.

Atomic structure:
Cell: 9.172 9.172 9.172 Å, 60.00 60.00 60.00°
Atoms (fractional coordinates):
Ta1 0.250 0.250 0.250
Ta2 0.750 0.750 0.750
Ni1 0.000 0.000 0.000
N1 0.156 0.156 0.844
N2 0.156 0.844 0.156
N3 0.156 0.844 0.844
N4 0.844 0.156 0.156
N5 0.844 0.156 0.844
N6 0.844 0.844 0.156
F1 0.102 0.102 0.398
F2 0.102 0.398 0.102
F3 0.102 0.398 0.398
F4 0.398 0.102 0.102
F5 0.398 0.102 0.398
F6 0.398 0.398 0.102
F7 0.602 0.602 0.898
F8 0.602 0.898 0.602
F9 0.602 0.898 0.898
F10 0.898 0.602 0.602
F11 0.898 0.602 0.898
F12 0.898 0.898 0.602

Principal peaks in the range 10 to 90 degrees two-theta, in order of rising 2θ:
2θ (°)	I_rel
11.8	14
13.7	74
19.4	100
23.8	12
27.5	31
30.8	24
33.9	17
41.8	11
44.2	36
52.8	20
60.6	16
74.6	15



[3]
Calculated X-ray powder pattern of VNO6F for CuKα, from a cell relaxed with PBE+U.
Lines closer than 0.1° are merged.

Atomic structure:
Cell: 9.464 11.181 8.079 Å, 90.00 90.00 90.00°
Atoms (fractional coordinates):
V1 0.000 0.180 0.250
V2 0.000 0.820 0.750
V3 0.500 0.250 0.750
V4 0.500 0.750 0.250
N1 0.228 0.000 0.500
N2 0.259 0.500 0.000
N3 0.741 0.500 0.500
N4 0.772 0.000 0.000
O1 0.000 0.233 0.750
O2 0.000 0.767 0.250
O3 0.137 0.265 0.127
O4 0.137 0.735 0.873
O5 0.166 0.267 0.298
O6 0.166 0.733 0.702
O7 0.290 0.229 0.762
O8 0.290 0.771 0.238
O9 0.322 0.275 0.615
O10 0.322 0.725 0.385
O11 0.497 0.078 0.668
O12 0.497 0.922 0.332
O13 0.500 0.311 0.250
O14 0.500 0.689 0.750
O15 0.503 0.078 0.832
O16 0.503 0.922 0.168
O17 0.678 0.275 0.885
O18 0.678 0.725 0.115
O19 0.710 0.229 0.738
O20 0.710 0.771 0.262
O21 0.834 0.267 0.202
O22 0.834 0.733 0.798
O23 0.863 0.265 0.373
O24 0.863 0.735 0.627
F1 0.000 0.021 0.250
F2 0.000 0.979 0.750
F3 0.500 0.411 0.750
F4 0.500 0.589 0.250

Principal peaks in the range 10 to 90 degrees two-theta, in order of rising 2θ:
2θ (°)	I_rel
12.3	6
15.9	39
16.5	100
18.8	10
21.5	7
22.0	30
25.3	5
27.2	17
29.1	18
32.0	8
38.0	5
39.0	7



[4]
Calculated X-ray powder pattern of WN2OF5 for CuKα, from a cell relaxed with PBE+U.
Lines closer than 0.1° are merged.

Atomic structure:
Cell: 8.314 8.314 7.646 Å, 90.00 90.00 135.53°
Atoms (fractional coordinates):
W1 0.120 0.880 0.750
W2 0.880 0.120 0.250
N1 0.221 0.779 0.250
N2 0.450 0.550 0.750
N3 0.550 0.450 0.250
N4 0.779 0.221 0.750
O1 0.002 0.998 0.250
O2 0.998 0.002 0.750
F1 0.091 0.336 0.076
F2 0.091 0.336 0.424
F3 0.244 0.756 0.750
F4 0.336 0.091 0.576
F5 0.336 0.091 0.924
F6 0.664 0.909 0.076
F7 0.664 0.909 0.424
F8 0.756 0.244 0.250
F9 0.909 0.664 0.576
F10 0.909 0.664 0.924

Principal peaks in the range 10 to 90 degrees two-theta, in order of rising 2θ:
2θ (°)	I_rel
15.2	65
16.3	100
19.2	65
22.4	19
23.1	23
23.3	21
25.2	39
27.9	23
32.9	16
37.0	19
37.0	26
47.4	17



[5]
Calculated X-ray powder pattern of WN3F6 for CuKα, from a cell relaxed with PBE+U.
Lines closer than 0.1° are merged.

Atomic structure:
Cell: 6.910 6.910 6.910 Å, 60.00 60.00 60.00°
Atoms (fractional coordinates):
W1 0.000 0.000 0.000
N1 0.250 0.250 0.250
N2 0.500 0.500 0.500
N3 0.750 0.750 0.750
F1 0.192 0.192 0.808
F2 0.192 0.808 0.192
F3 0.192 0.808 0.808
F4 0.808 0.192 0.192
F5 0.808 0.192 0.808
F6 0.808 0.808 0.192

Principal peaks in the range 10 to 90 degrees two-theta, in order of rising 2θ:
2θ (°)	I_rel
15.7	100
18.2	58
25.8	45
30.3	36
36.8	20
41.3	20
45.5	13
48.4	21
55.6	18
59.9	12
68.6	12
72.4	10



[6]
Calculated X-ray powder pattern of Na3NiF6 for CuKα, from a cell relaxed with PBE+U.
Lines closer than 0.1° are merged.

Atomic structure:
Cell: 5.512 5.783 9.637 Å, 90.00 124.22 90.00°
Atoms (fractional coordinates):
Na1 0.000 0.000 0.000
Na2 0.000 0.500 0.500
Na3 0.221 0.059 0.742
Na4 0.221 0.441 0.242
Na5 0.779 0.559 0.758
Na6 0.779 0.941 0.258
Ni1 0.500 0.000 0.500
Ni2 0.500 0.500 0.000
F1 0.169 0.179 0.451
F2 0.169 0.321 0.951
F3 0.253 0.728 0.424
F4 0.253 0.772 0.924
F5 0.396 0.060 0.277
F6 0.396 0.440 0.777
F7 0.604 0.560 0.223
F8 0.604 0.940 0.723
F9 0.747 0.228 0.076
F10 0.747 0.272 0.576
F11 0.831 0.679 0.049
F12 0.831 0.821 0.549

Principal peaks in the range 10 to 90 degrees two-theta, in order of rising 2θ:
2θ (°)	I_rel
19.0	90
19.5	23
19.7	41
22.3	100
30.9	29
31.6	75
31.9	68
37.8	53
45.5	97
51.4	29
56.1	26
57.2	33